Computed powder XRD pattern of SrMg6W for Cu Kα X-rays, from a PBE-relaxed structure.
Lines closer than 0.1° are merged.

Atomic structure:
Cell lengths 5.119, 6.508, 11.299 Å; angles 90.00, 90.00, 90.00 degrees
Space group Amm2 (No. 38)
Unique sites:
Sr 0.000 0.000 0.000 (multiplicity 2)
Mg 0.000 0.000 0.495 (multiplicity 2)
Mg 0.000 0.224 0.754 (multiplicity 4)
Mg 0.500 0.000 0.329 (multiplicity 2)
Mg 0.500 0.232 0.592 (multiplicity 4)
W 0.500 0.000 0.821 (multiplicity 2)

Principal peaks in the range 2θ = 5–70°, in order of rising 2θ:
- 15.71°, intensity 885, (0 1 1)
- 23.46°, intensity 593, (1 0 2)
- 27.40°, intensity 178, (0 2 0)
- 31.71°, intensity 274, (0 0 4)
- 32.57°, intensity 332, (1 1 3)
- 35.06°, intensity 249, (2 0 0)
- 36.36°, intensity 1000, (1 2 2)
- 38.63°, intensity 197, (2 1 1)
- 46.11°, intensity 193, (1 2 4)
- 47.99°, intensity 172, (2 0 4)
- 63.74°, intensity 190, (3 2 2)
- 68.25°, intensity 190, (2 4 0)

---

Computed powder XRD pattern of Rb2MgUTe4 for Cu Kα X-rays, from a PBE-relaxed structure.
Lines closer than 0.1° are merged.

Atomic structure:
Cell lengths 7.776, 4.510, 8.907 Å; angles 90.00, 107.51, 90.00 degrees
Space group P2/m (No. 10)
Unique sites:
Rb 0.000 0.000 0.000 (multiplicity 1)
Rb 0.500 0.500 0.000 (multiplicity 1)
Mg 0.000 0.500 0.500 (multiplicity 1)
U 0.500 0.000 0.500 (multiplicity 1)
Te 0.226 0.000 0.687 (multiplicity 2)
Te 0.270 0.500 0.300 (multiplicity 2)

Principal peaks in the range 2θ = 5–70°, in order of rising 2θ:
- 10.41°, intensity 358, (0 0 1)
- 11.93°, intensity 154, (1 0 0)
- 13.28°, intensity 135, (1 0 -1)
- 26.74°, intensity 520, (2 0 -2)
- 26.86°, intensity 1000, (1 1 1)
- 33.76°, intensity 149, (1 1 2)
- 36.32°, intensity 330, (1 1 -3)
- 36.66°, intensity 144, (2 0 2)
- 39.98°, intensity 197, (0 2 0)
- 40.13°, intensity 390, (3 1 -1)
- 48.75°, intensity 200, (2 2 -2)
- 64.92°, intensity 173, (5 1 -3)

---

Computed powder XRD pattern of PrScMo2N6 for Cu Kα X-rays, from a PBE-relaxed structure.
Lines closer than 0.1° are merged.

Atomic structure:
Cell lengths 11.474, 9.663, 6.424 Å; angles 90.00, 115.73, 90.00 degrees
Space group C2/c (No. 15)
Unique sites:
Pr 0.000 0.100 0.250 (multiplicity 4)
Sc 0.000 0.277 0.750 (multiplicity 4)
Mo 0.206 0.417 0.176 (multiplicity 8)
N 0.116 0.115 0.681 (multiplicity 8)
N 0.120 0.258 0.132 (multiplicity 8)
N 0.148 0.464 0.862 (multiplicity 8)

Principal peaks in the range 2θ = 5–70°, in order of rising 2θ:
- 12.54°, intensity 147, (1 1 0)
- 22.57°, intensity 158, (1 1 1)
- 25.37°, intensity 1000, (2 2 -1)
- 27.48°, intensity 446, (3 1 0)
- 29.69°, intensity 206, (1 1 -2)
- 30.90°, intensity 291, (0 0 2)
- 33.43°, intensity 195, (2 2 1)
- 34.75°, intensity 337, (1 3 1)
- 35.11°, intensity 210, (4 0 -2)
- 46.48°, intensity 149, (2 2 -3)
- 48.85°, intensity 184, (5 3 -1)
- 60.94°, intensity 143, (5 3 1)

---

Computed powder XRD pattern of K2HgSbS4 for Cu Kα X-rays, from a PBE-relaxed structure.
Lines closer than 0.1° are merged.

Atomic structure:
Cell lengths 7.428, 7.428, 9.129 Å; angles 90.00, 90.00, 90.00 degrees
Space group I-4 (No. 82)
Unique sites:
K 0.000 0.000 0.000 (multiplicity 2)
K 0.000 0.500 0.250 (multiplicity 2)
Hg 0.000 0.000 0.500 (multiplicity 2)
Sb 0.000 0.500 0.750 (multiplicity 2)
S 0.177 0.266 0.614 (multiplicity 8)

Principal peaks in the range 2θ = 5–70°, in order of rising 2θ:
- 15.38°, intensity 769, (1 0 1)
- 23.96°, intensity 290, (2 0 0)
- 25.86°, intensity 1000, (1 1 2)
- 28.60°, intensity 224, (1 2 1)
- 34.14°, intensity 318, (2 2 0)
- 40.19°, intensity 156, (2 1 3)
- 43.32°, intensity 482, (1 3 2)
- 45.12°, intensity 149, (2 3 1)
- 46.72°, intensity 279, (2 0 4)
- 55.31°, intensity 98, (4 2 0)
- 56.27°, intensity 110, (3 3 2)
- 67.49°, intensity 122, (5 1 2)

---

Computed powder XRD pattern of Mn2Pd2Au5 for Cu Kα X-rays, from a PBE-relaxed structure.
Lines closer than 0.1° are merged.

Atomic structure:
Cell lengths 12.835, 8.554, 5.643 Å; angles 90.00, 103.59, 90.00 degrees
Space group Cc (No. 9)
Unique sites:
Mn 0.000 0.160 0.000 (multiplicity 4)
Mn 0.177 0.334 0.807 (multiplicity 4)
Pd 0.007 0.171 0.503 (multiplicity 4)
Pd 0.339 0.168 0.654 (multiplicity 4)
Au 0.010 0.493 0.973 (multiplicity 4)
Au 0.165 0.009 0.837 (multiplicity 4)
Au 0.170 0.327 0.307 (multiplicity 4)
Au 0.340 0.168 0.152 (multiplicity 4)
Au 0.341 0.497 0.656 (multiplicity 4)

Principal peaks in the range 2θ = 5–70°, in order of rising 2θ:
- 20.77°, intensity 38, (0 2 0)
- 21.81°, intensity 82, (1 1 1)
- 23.79°, intensity 72, (3 1 0)
- 28.20°, intensity 65, (2 2 -1)
- 38.27°, intensity 1000, (3 3 0)
- 38.85°, intensity 327, (2 0 2)
- 43.52°, intensity 234, (6 0 0)
- 45.22°, intensity 412, (1 3 -2)
- 64.16°, intensity 138, (7 3 -2)
- 64.96°, intensity 141, (5 3 2)
- 65.46°, intensity 70, (0 6 0)
- 66.26°, intensity 63, (2 0 -4)

---

Computed powder XRD pattern of Tb3Ge5 for Cu Kα X-rays, from a PBE-relaxed structure.
Lines closer than 0.1° are merged.

Atomic structure:
Cell lengths 6.9346, 6.9346, 8.3856 Å; angles 90.00, 90.00, 120.00 degrees
Space group P-62c (No. 190)
Unique sites:
Tb 0.0000 0.3319 0.0000 (multiplicity 6)
Ge 0.0000 0.0000 0.2500 (multiplicity 2)
Ge 0.0727 0.6696 0.2500 (multiplicity 6)
Ge 0.3333 0.6667 0.7500 (multiplicity 2)

Principal peaks in the range 2θ = 5–70°, in order of rising 2θ:
- 25.69°, intensity 214, (1 1 0)
- 31.65°, intensity 49, (2 0 1)
- 33.54°, intensity 1000, (1 1 2)
- 41.20°, intensity 78, (2 1 1)
- 43.15°, intensity 144, (0 0 4)
- 45.30°, intensity 279, (3 0 0)
- 50.52°, intensity 35, (3 0 2)
- 50.90°, intensity 68, (1 1 4)
- 51.89°, intensity 39, (2 1 3)
- 52.81°, intensity 53, (2 2 0)
- 57.53°, intensity 155, (2 2 2)
- 64.35°, intensity 194, (3 0 4)

---

Computed powder XRD pattern of CsPdPb2Br8 for Cu Kα X-rays, from a PBE-relaxed structure.
Lines closer than 0.1° are merged.

Atomic structure:
Cell lengths 7.154, 7.338, 9.123 Å; angles 66.67, 85.10, 74.97 degrees
Space group P-1 (No. 2)
Unique sites:
Cs 0.000 0.000 0.000 (multiplicity 1)
Pd 0.000 0.000 0.500 (multiplicity 1)
Pb 0.478 0.628 0.722 (multiplicity 2)
Br 0.048 0.688 0.758 (multiplicity 2)
Br 0.260 0.106 0.588 (multiplicity 2)
Br 0.286 0.752 0.379 (multiplicity 2)
Br 0.454 0.255 0.013 (multiplicity 2)

Principal peaks in the range 2θ = 5–70°, in order of rising 2θ:
- 13.57°, intensity 554, (0 1 1)
- 16.22°, intensity 1000, (1 1 0)
- 20.25°, intensity 457, (0 1 2)
- 25.12°, intensity 459, (0 2 1)
- 25.79°, intensity 390, (2 0 0)
- 29.48°, intensity 712, (0 1 -2)
- 29.97°, intensity 564, (2 1 -1)
- 30.54°, intensity 522, (2 1 2)
- 32.02°, intensity 365, (-2 1 1)
- 32.95°, intensity 542, (-1 2 2)
- 33.11°, intensity 652, (0 2 -1)
- 42.50°, intensity 293, (3 2 2)

---

Computed powder XRD pattern of HoPaAgS4 for Cu Kα X-rays, from a PBE-relaxed structure.
Lines closer than 0.1° are merged.

Atomic structure:
Cell lengths 7.907, 8.066, 11.271 Å; angles 90.00, 90.00, 90.00 degrees
Space group Imma (No. 74)
Unique sites:
Ho 0.250 0.250 0.250 (multiplicity 4)
Pa 0.000 0.000 0.000 (multiplicity 4)
Ag 0.000 0.250 0.631 (multiplicity 4)
S 0.000 0.016 0.240 (multiplicity 8)
S 0.234 0.250 0.007 (multiplicity 8)

Principal peaks in the range 2θ = 5–70°, in order of rising 2θ:
- 13.68°, intensity 614, (1 0 1)
- 26.03°, intensity 1000, (1 2 1)
- 26.23°, intensity 812, (1 0 3)
- 26.32°, intensity 638, (2 1 1)
- 27.19°, intensity 338, (0 2 2)
- 27.56°, intensity 285, (2 0 2)
- 31.71°, intensity 839, (0 0 4)
- 41.64°, intensity 283, (1 0 5)
- 41.72°, intensity 340, (3 2 1)
- 44.95°, intensity 251, (0 4 0)
- 45.48°, intensity 964, (2 2 4)
- 45.91°, intensity 236, (4 0 0)

---

Computed powder XRD pattern of La3PmY8 for Cu Kα X-rays, from a PBE-relaxed structure.
Lines closer than 0.1° are merged.

Atomic structure:
Cell lengths 8.849, 8.849, 11.413 Å; angles 90.00, 90.00, 90.00 degrees
Space group I-42m (No. 121)
Unique sites:
La 0.000 0.000 0.000 (multiplicity 2)
La 0.000 0.500 0.250 (multiplicity 4)
Pm 0.000 0.000 0.500 (multiplicity 2)
Y 0.124 0.124 0.748 (multiplicity 8)
Y 0.249 0.249 0.497 (multiplicity 8)

Principal peaks in the range 2θ = 5–70°, in order of rising 2θ:
- 21.07°, intensity 488, (1 1 2)
- 23.80°, intensity 353, (2 1 1)
- 25.47°, intensity 292, (2 0 2)
- 28.53°, intensity 714, (2 2 0)
- 31.35°, intensity 541, (0 0 4)
- 32.64°, intensity 319, (2 2 2)
- 35.74°, intensity 1000, (3 1 2)
- 42.90°, intensity 465, (2 2 4)
- 43.89°, intensity 345, (4 0 2)
- 55.33°, intensity 289, (5 1 2)
- 58.69°, intensity 236, (3 1 6)
- 68.39°, intensity 250, (4 4 4)

---

Computed powder XRD pattern of Ce4Hg3Os for Cu Kα X-rays, from a PBE-relaxed structure.
Lines closer than 0.1° are merged.

Atomic structure:
Cell lengths 7.421, 7.421, 7.421 Å; angles 90.00, 90.00, 90.00 degrees
Space group Im-3m (No. 229)
Unique sites:
Ce 0.250 0.250 0.250 (multiplicity 8)
Hg 0.000 0.000 0.500 (multiplicity 6)
Os 0.000 0.000 0.000 (multiplicity 2)

Principal peaks in the range 2θ = 5–70°, in order of rising 2θ:
- 23.98°, intensity 34, (2 0 0)
- 34.17°, intensity 1000, (2 2 0)
- 42.18°, intensity 12, (2 2 2)
- 49.10°, intensity 182, (4 0 0)
- 55.36°, intensity 16, (4 2 0)
- 61.18°, intensity 377, (4 2 2)

---

Computed powder XRD pattern of NpSc3 for Cu Kα X-rays, from a PBE-relaxed structure.
Lines closer than 0.1° are merged.

Atomic structure:
Cell lengths 3.109, 10.536, 5.839 Å; angles 90.00, 90.00, 90.00 degrees
Space group Imm2 (No. 44)
Unique sites:
Np 0.000 0.000 0.000 (multiplicity 2)
Sc 0.000 0.249 0.693 (multiplicity 4)
Sc 0.000 0.500 0.998 (multiplicity 2)

Principal peaks in the range 2θ = 5–70°, in order of rising 2θ:
- 16.83°, intensity 536, (0 2 0)
- 17.36°, intensity 1000, (0 1 1)
- 29.68°, intensity 290, (0 3 1)
- 29.96°, intensity 283, (1 1 0)
- 32.63°, intensity 442, (1 0 1)
- 34.04°, intensity 396, (0 4 0)
- 35.14°, intensity 659, (0 2 2)
- 36.93°, intensity 961, (1 2 1)
- 43.37°, intensity 216, (1 1 2)
- 47.87°, intensity 306, (1 4 1)
- 62.82°, intensity 201, (1 6 1)
- 66.92°, intensity 206, (1 4 3)

---

Computed powder XRD pattern of Ca4Tl15Hg for Cu Kα X-rays, from a PBE-relaxed structure.
Lines closer than 0.1° are merged.

Atomic structure:
Cell lengths 4.857, 4.857, 24.589 Å; angles 90.00, 90.00, 90.00 degrees
Space group P4/mmm (No. 123)
Unique sites:
Ca 0.000 0.000 0.098 (multiplicity 2)
Ca 0.000 0.000 0.295 (multiplicity 2)
Tl 0.000 0.500 0.000 (multiplicity 2)
Tl 0.000 0.500 0.197 (multiplicity 4)
Tl 0.000 0.500 0.399 (multiplicity 4)
Tl 0.500 0.500 0.097 (multiplicity 2)
Tl 0.500 0.500 0.295 (multiplicity 2)
Tl 0.500 0.500 0.500 (multiplicity 1)
Hg 0.000 0.000 0.500 (multiplicity 1)

Principal peaks in the range 2θ = 5–70°, in order of rising 2θ:
- 18.04°, intensity 34, (0 0 5)
- 18.27°, intensity 65, (1 0 0)
- 25.78°, intensity 58, (1 0 5)
- 25.94°, intensity 29, (1 1 0)
- 31.78°, intensity 1000, (1 1 5)
- 36.54°, intensity 171, (0 0 10)
- 37.02°, intensity 336, (2 0 0)
- 53.00°, intensity 236, (2 0 10)
- 53.35°, intensity 119, (2 2 0)
- 62.81°, intensity 138, (1 1 15)
- 63.45°, intensity 283, (3 1 5)
- 66.40°, intensity 121, (2 2 10)

---

Computed powder XRD pattern of Ca4ScTe5 for Cu Kα X-rays, from a PBE-relaxed structure.
Lines closer than 0.1° are merged.

Atomic structure:
Cell lengths 4.439, 4.439, 31.446 Å; angles 90.00, 90.00, 90.00 degrees
Space group I4/mmm (No. 139)
Unique sites:
Ca 0.000 0.000 0.098 (multiplicity 4)
Ca 0.000 0.000 0.302 (multiplicity 4)
Sc 0.000 0.000 0.500 (multiplicity 2)
Te 0.000 0.000 0.000 (multiplicity 2)
Te 0.000 0.000 0.199 (multiplicity 4)
Te 0.000 0.000 0.405 (multiplicity 4)

Principal peaks in the range 2θ = 5–70°, in order of rising 2θ:
- 5.62°, intensity 7, (0 0 2)
- 24.55°, intensity 439, (1 0 5)
- 28.42°, intensity 1000, (1 1 0)
- 40.62°, intensity 737, (2 0 0)
- 45.07°, intensity 6, (1 1 12)
- 48.04°, intensity 219, (2 1 5)
- 50.32°, intensity 258, (2 0 10)
- 58.72°, intensity 36, (0 0 20)
- 58.84°, intensity 81, (2 2 0)
- 64.68°, intensity 89, (3 0 5)
- 66.55°, intensity 206, (2 2 10)
- 66.62°, intensity 110, (3 1 0)